Structure and computed powder diffractogram of BiIr3C9O9 (a cell relaxed with GGA-PBE; Cu Kα X-rays).

Crystal structure
```
BiIr3C9O9
1.0
7.887 0.000 0.000
3.168 8.171 0.000
2.277 0.287 11.348
Bi Ir C O
2 6 18 18
Cartesian
1.941 1.622 4.768 Bi
11.391 6.837 6.581 Bi
1.374 1.801 2.060 Ir
3.145 3.602 3.243 Ir
3.885 0.927 2.918 Ir
9.447 7.531 8.431 Ir
10.186 4.857 8.106 Ir
11.957 6.657 9.288 Ir
0.527 0.113 1.905 C
3.517 3.465 7.688 C
1.985 2.199 0.284 C
5.588 5.562 8.993 C
3.872 4.166 1.555 C
4.534 3.999 4.466 C
6.493 7.283 2.959 C
7.982 7.523 7.232 C
8.613 7.320 10.144 C
4.718 1.138 1.204 C
5.349 0.935 4.116 C
6.839 1.175 8.389 C
8.797 4.459 6.882 C
9.460 4.292 9.793 C
7.744 2.896 2.355 C
11.347 6.259 11.064 C
9.814 4.993 3.660 C
12.804 8.345 9.443 C
3.170 7.253 1.805 O
4.624 2.732 10.557 O
4.228 2.584 7.420 O
4.286 4.553 0.546 O
5.390 4.263 5.205 O
7.059 7.503 6.521 O
6.519 4.899 8.803 O
6.098 6.193 2.965 O
8.084 7.249 11.176 O
5.247 1.209 0.173 O
7.234 2.265 8.384 O
6.812 3.559 2.546 O
6.272 0.956 4.827 O
7.942 4.196 6.144 O
9.045 3.906 10.803 O
9.104 5.874 3.928 O
8.708 5.726 0.791 O
10.162 1.205 9.543 O
```

Principal peaks in the range 2θ = 15–90°, by angle:
15.62°, intensity 100
18.53°, intensity 32
29.66°, intensity 36
30.31°, intensity 41
31.02°, intensity 50
32.38°, intensity 27
33.69°, intensity 29
35.39°, intensity 31
36.57°, intensity 29
42.55°, intensity 28

=====

Structure and computed powder diffractogram of Lu4BiC3 (a cell relaxed with GGA-PBE; Cu Kα X-rays).

Crystal structure
```
Lu4BiC3
1.0
3.512 0.000 0.000
-1.756 3.041 0.000
0.000 0.000 27.409
Lu Bi C
8 2 6
Cartesian
0.000 0.000 4.104 Lu
0.000 0.000 9.600 Lu
0.000 0.000 17.809 Lu
0.000 0.000 23.304 Lu
0.000 2.028 1.439 Lu
0.000 2.028 12.266 Lu
1.756 1.014 15.143 Lu
1.756 1.014 25.970 Lu
0.000 2.028 6.852 Bi
1.756 1.014 20.557 Bi
0.000 0.000 0.000 C
0.000 0.000 13.704 C
0.000 2.028 16.665 C
0.000 2.028 24.448 C
1.756 1.014 2.960 C
1.756 1.014 10.744 C
```

Principal peaks in the range 2θ = 15–90°, by angle:
29.55°, intensity 42
32.20°, intensity 80
32.67°, intensity 58
33.70°, intensity 100
35.46°, intensity 82
47.15°, intensity 19
52.09°, intensity 54
55.85°, intensity 18
58.97°, intensity 19
62.85°, intensity 55

=====

Structure and computed powder diffractogram of Lu4BiSbC2 (a cell relaxed with GGA-PBE; Cu Kα X-rays).

Crystal structure
```
Lu4BiSbC2
1.0
3.582 0.000 0.000
-1.791 3.102 0.000
0.000 0.000 15.023
Lu Bi Sb C
4 1 1 2
Cartesian
0.000 0.000 2.421 Lu
0.000 0.000 12.602 Lu
0.000 2.068 4.958 Lu
0.000 2.068 10.065 Lu
0.000 0.000 7.511 Bi
0.000 2.068 0.000 Sb
1.791 1.034 3.714 C
1.791 1.034 11.309 C
```

Principal peaks in the range 2θ = 15–90°, by angle:
28.78°, intensity 24
33.99°, intensity 100
35.87°, intensity 18
46.62°, intensity 15
50.99°, intensity 22
62.70°, intensity 17
63.26°, intensity 16
63.90°, intensity 21
84.95°, intensity 15
85.45°, intensity 7

=====

Structure and computed powder diffractogram of Bi2Mo8C3N3 (a cell relaxed with GGA-PBE; Cu Kα X-rays).

Crystal structure
```
Bi2Mo8C3N3
1.0
3.243 0.000 0.000
-1.621 2.808 0.000
0.000 0.000 23.632
Bi Mo C N
2 8 3 3
Cartesian
0.000 1.872 5.985 Bi
1.621 0.936 17.647 Bi
0.000 0.000 3.417 Mo
0.000 0.000 8.558 Mo
0.000 0.000 15.075 Mo
0.000 0.000 20.216 Mo
0.000 1.872 1.284 Mo
0.000 1.872 10.554 Mo
1.621 0.936 13.079 Mo
1.621 0.936 22.348 Mo
0.000 0.000 0.000 C
0.000 1.872 21.087 C
1.621 0.936 2.545 C
0.000 0.000 11.816 N
0.000 1.872 14.352 N
1.621 0.936 9.280 N
```

Principal peaks in the range 2θ = 15–90°, by angle:
22.57°, intensity 16
32.10°, intensity 59
35.39°, intensity 73
37.24°, intensity 100
38.08°, intensity 34
39.41°, intensity 53
47.40°, intensity 16
53.72°, intensity 23
56.78°, intensity 46
70.43°, intensity 35

=====

Structure and computed powder diffractogram of Ta2Bi3Mo4C3 (a cell relaxed with GGA-PBE; Cu Kα X-rays).

Crystal structure
```
Ta2Bi3Mo4C3
1.0
4.893 -2.820 0.000
4.893 2.820 0.000
-4.009 0.000 14.468
Ta Bi Mo C
4 6 8 6
Cartesian
1.287 1.887 8.337 Ta
2.486 1.887 13.365 Ta
3.292 -1.887 1.103 Ta
4.491 -1.887 6.131 Ta
3.891 2.074 3.617 Bi
0.261 0.721 10.925 Bi
2.266 -0.721 3.691 Bi
3.512 0.721 10.777 Bi
5.517 -0.721 3.543 Bi
1.887 -2.074 10.851 Bi
1.619 0.997 1.053 Mo
2.948 0.909 6.160 Mo
4.834 0.909 1.074 Mo
-0.385 -0.997 8.287 Mo
6.163 0.997 6.181 Mo
0.944 -0.909 13.394 Mo
2.830 -0.909 8.308 Mo
4.158 -0.997 13.415 Mo
0.000 0.000 0.000 C
-2.005 0.000 7.234 C
1.246 0.028 7.228 C
-0.758 -0.028 14.462 C
6.536 0.028 0.006 C
4.531 -0.028 7.240 C
```

Principal peaks in the range 2θ = 15–90°, by angle:
24.61°, intensity 16
31.72°, intensity 21
32.05°, intensity 51
34.64°, intensity 77
36.93°, intensity 100
37.29°, intensity 52
39.63°, intensity 62
45.92°, intensity 19
56.73°, intensity 27
66.98°, intensity 28

=====

Structure and computed powder diffractogram of Y2Bi3Mo4C3 (a cell relaxed with GGA-PBE; Cu Kα X-rays).

Crystal structure
```
Y2Bi3Mo4C3
1.0
5.052 -2.996 0.000
5.052 2.996 0.000
-1.148 0.000 14.700
Y Bi Mo C
4 6 8 6
Cartesian
3.704 2.523 8.822 Y
4.677 2.523 13.228 Y
4.278 -2.523 1.472 Y
5.251 -2.523 5.878 Y
0.999 0.789 10.678 Bi
1.573 -0.789 3.328 Bi
4.190 0.347 11.025 Bi
4.765 -0.347 3.675 Bi
7.382 0.789 11.371 Bi
7.956 -0.789 4.021 Bi
2.501 0.418 0.857 Mo
3.693 0.599 6.401 Mo
1.927 -0.418 8.207 Mo
5.836 0.599 0.949 Mo
3.119 -0.599 13.751 Mo
7.028 0.418 6.493 Mo
5.262 -0.599 8.298 Mo
6.454 -0.418 13.843 Mo
1.952 1.498 7.350 C
3.006 1.422 14.660 C
5.374 1.422 7.390 C
2.526 -1.498 0.000 C
3.581 -1.422 7.310 C
5.948 -1.422 0.040 C
```

Principal peaks in the range 2θ = 15–90°, by angle:
24.22°, intensity 26
30.49°, intensity 41
30.72°, intensity 51
33.70°, intensity 90
35.11°, intensity 100
36.68°, intensity 33
37.96°, intensity 59
40.14°, intensity 16
45.16°, intensity 15
53.50°, intensity 29

=====

Structure and computed powder diffractogram of Ta4Bi2CN (a cell relaxed with GGA-PBE; Cu Kα X-rays).

Crystal structure
```
Ta4Bi2CN
1.0
3.422 0.000 0.000
-1.711 2.964 0.000
0.000 0.000 13.361
Ta Bi C N
4 2 1 1
Cartesian
0.000 1.976 1.030 Ta
0.000 1.976 5.700 Ta
1.711 0.988 7.661 Ta
1.711 0.988 12.331 Ta
0.000 1.976 9.990 Bi
1.711 0.988 3.371 Bi
0.000 0.000 0.000 C
0.000 0.000 6.681 N
```

Principal peaks in the range 2θ = 15–90°, by angle:
30.16°, intensity 25
36.41°, intensity 100
40.51°, intensity 15
51.32°, intensity 13
53.56°, intensity 24
62.70°, intensity 3
66.50°, intensity 18
69.25°, intensity 19
71.01°, intensity 13
77.35°, intensity 4

=====

Structure and computed powder diffractogram of Ta3BiCN (a cell relaxed with GGA-PBE; Cu Kα X-rays).

Crystal structure
```
Ta3BiCN
1.0
3.201 0.000 0.000
-1.600 2.772 0.000
0.000 0.000 20.282
Ta Bi C N
6 2 2 2
Cartesian
0.000 0.000 0.000 Ta
0.000 0.000 10.141 Ta
0.000 1.848 2.419 Ta
0.000 1.848 7.698 Ta
1.600 0.924 12.584 Ta
1.600 0.924 17.864 Ta
0.000 0.000 5.019 Bi
0.000 0.000 15.263 Bi
0.000 1.848 11.469 C
1.600 0.924 8.813 C
0.000 1.848 19.051 N
1.600 0.924 1.232 N
```

Principal peaks in the range 2θ = 15–90°, by angle:
32.60°, intensity 18
34.99°, intensity 18
35.40°, intensity 29
36.96°, intensity 100
39.37°, intensity 11
45.27°, intensity 13
57.59°, intensity 26
64.58°, intensity 19
69.45°, intensity 26
70.43°, intensity 16